1.
# Li7Mo12Se16
Calculated powder diffractogram, λ = 1.5418 Å (Cu Kα). Input: a DFT-relaxed cell (PBE, Alexandria).
No peak broadening, texture or thermal motion is included.

Structure:
```
Li7Mo12Se16
1.0
7.0016 0.0000 0.0000
-0.5302 6.9861 0.0000
-1.4503 -1.1196 13.8869
Li Mo Se
7 12 16
Cartesian
0.0000 0.0000 0.0000
-0.7199 3.7682 4.1398
1.9966 0.1648 3.9462
1.6995 -0.5413 11.0412
5.3767 0.2002 4.6757
5.7225 -0.2434 8.5306
5.4907 3.2231 11.0853
0.4885 3.4903 7.0914
1.2434 3.9543 0.1616
1.7630 1.3049 7.9990
2.5231 1.7841 1.0612
1.7310 3.5498 9.4818
2.4775 4.0490 2.5480
2.7764 2.6763 5.9160
2.0781 2.0483 12.8698
2.7369 4.9260 7.4031
3.4845 5.4215 0.4714
4.0120 2.7579 8.2997
4.7632 3.2288 1.3711
-0.4292 2.1164 9.1393
0.3306 2.5571 2.1966
0.5409 1.3017 5.7058
-0.1218 0.6816 12.5998
0.4903 5.6575 8.5539
1.2261 6.1429 1.6091
0.7990 4.1833 12.0499
1.5296 4.8292 5.0805
3.7726 1.9077 3.3946
3.0459 1.4320 10.3078
3.2914 -0.0445 13.7730
4.0081 0.5606 6.8469
3.8971 4.9215 9.7667
4.6683 5.4315 2.7706
4.9165 4.1376 6.2520
4.2273 3.4741 13.2186
```

Peak list (10 most intense, 2θ from 10° to 80°, low angle first)
two_theta, I (rel.), hkl
12.7, 100, 0 1 0
30.8, 9, -1 2 2
37.1, 9, -2 2 2
37.6, 10, 1 -2 4
42.5, 18, -1 1 6
42.7, 16, 1 3 -2
43.2, 15, 3 -1 2
46.9, 12, 3 1 -4
47.2, 12, -2 3 2
47.8, 10, 1 -2 6


2.
# LiTiMo3
Calculated powder diffractogram, λ = 1.5418 Å (Cu Kα). Input: a DFT-relaxed cell (PBE, Alexandria).
No peak broadening, texture or thermal motion is included.

Structure:
```
LiTiMo3
1.0
4.2704 0.0000 0.0000
0.0000 4.2704 0.0000
0.0000 0.0000 4.2704
Li Ti Mo
1 1 3
Cartesian
0.0000 0.0000 0.0000
2.1352 2.1352 2.1352
0.0000 0.0000 2.1352
0.0000 2.1352 0.0000
2.1352 0.0000 0.0000
```

Peak list (10 most intense, 2θ from 10° to 80°, low angle first)
two_theta, I (rel.), hkl
20.8, 9, 1 0 0
29.6, 5, 1 1 0
36.4, 100, 1 1 1
42.3, 51, 2 0 0
47.6, 4, 2 1 0
52.5, 2, 2 1 1
61.4, 33, 2 2 0
65.6, 2, 3 0 0
73.6, 36, 3 1 1
77.4, 11, 2 2 2